For AgS6Cl, a DFT-relaxed cell (PBE, OQMD) gives the computed powder X-ray diffraction pattern in this record (Cu Kα (λ = 1.5418 Å)).
Kinematic intensities with the Lorentz-polarization factor, no thermal factor.

Crystal structure
abc: 9.1435 9.1435 9.1435
angles: 90.00 90.00 90.00
Space group F-43m (No. 216)
Unique sites:
Ag (0.0000, 0.0000, 0.0000) [4 per cell]
S (0.0616, 0.2500, 0.7500) [24 per cell]
Cl (0.2500, 0.2500, 0.2500) [4 per cell]

Principal peaks in the range 2θ from 5° to 70°, in order of rising 2θ:
Position (°2θ), intensity, index
16.79, 100, 1 1 1
27.59, 45, 2 2 0
32.48, 61, 3 1 1
33.96, 58, 2 2 2
39.42, 46, 4 0 0
43.12, 53, 3 3 1
51.97, 37, 3 3 3
56.97, 17, 4 4 0
59.84, 17, 5 3 1
60.78, 10, 4 4 2
64.45, 22, 6 2 0
67.13, 9, 5 3 3